Diffraction record for TbTl2WO8. The X-ray powder pattern is simulated, not measured: it uses the PBE+U geometry in Alexandria and Cu Kα (weighted mean of Kα1 and Kα2).
Neutral-atom scattering factors, no anomalous dispersion.

Cell: 5.0887 5.0887 6.7737 Å, 90.00 90.00 91.22°
Sites, in units of the cell vectors:
1 Tb 0.0000 0.0000 0.0000
2 Tl 0.5000 0.5000 0.2535
3 Tl 0.5000 0.5000 0.7465
4 W 0.0000 0.0000 0.5000
5 O 0.1786 0.8214 0.2873
6 O 0.1786 0.8214 0.7127
7 O 0.2807 0.2807 0.5000
8 O 0.3071 0.3071 0.0000
9 O 0.6929 0.6929 0.0000
10 O 0.7193 0.7193 0.5000
11 O 0.8214 0.1786 0.2873
12 O 0.8214 0.1786 0.7127

Top 12 peaks for 2θ from 10° to 80°, in order of falling intensity:
2θ (°)  intensity
31.74  100.0
24.48  58.8
25.02  53.5
47.88  40.4
48.48  37.3
35.28  32.3
61.11  22.1
66.31  11.8
57.66  10.3
60.29  10.1
71.87  9.8
56.86  9.4